For BaMoF6, the PBE+U geometry in Alexandria gives the simulated powder X-ray diffraction pattern in this record (CuKα).
Peak positions follow from Bragg's law for the DFT cell and can differ from measured ones.

Cell: 5.3743 5.3743 15.9942 Å, 90.00 90.00 120.00°
Space group R-3m (No. 166, hexagonal axes)
Unique sites:
Ba: 0.0000 0.0000 0.0000 (multiplicity 3)
Mo: 0.0000 0.0000 0.5000 (multiplicity 3)
F: 0.0021 0.5011 0.0877 (multiplicity 18)

Peak list (8 most intense, 10 to 90 degrees two-theta, low angle first)
2θ = 22.10°, d = 4.023 Å, I 100, hkl 0 1 2
2θ = 29.45°, d = 3.033 Å, I 69, hkl 1 0 4
2θ = 33.34°, d = 2.687 Å, I 28, hkl 1 1 0
2θ = 40.37°, d = 2.234 Å, I 36, hkl 2 0 2
2θ = 48.08°, d = 1.892 Å, I 38, hkl 1 1 6
2θ = 49.63°, d = 1.837 Å, I 14, hkl 0 1 8
2θ = 53.32°, d = 1.718 Å, I 18, hkl 1 2 2
2θ = 57.21°, d = 1.610 Å, I 20, hkl 2 1 4